This entry pairs a crystal structure of Li2Ti3SnP6O24 with its theoretical XRD peak list. Radiation: Cu Ka. Structure: a structure optimized by DFT (PBE).
Lines closer than 0.1° are merged.

Structure:
a b c (Å): 8.6686 8.6686 8.6686
angles (deg): 59.89 59.89 59.89
Fractional positions:
Li1 0.0000 0.0000 0.0000
Li2 0.4965 0.4965 0.4965
Ti1 0.1370 0.1370 0.1370
Ti2 0.3525 0.3525 0.3525
Ti3 0.6372 0.6372 0.6372
Sn1 0.8540 0.8540 0.8540
P1 0.0375 0.4500 0.7453
P2 0.2491 0.9536 0.5324
P3 0.4500 0.7453 0.0375
P4 0.5324 0.2491 0.9536
P5 0.7453 0.0375 0.4500
P6 0.9536 0.5324 0.2491
O1 0.0138 0.6116 0.7915
O2 0.0465 0.2637 0.9158
O3 0.0827 0.9472 0.7230
O4 0.1138 0.4850 0.3119
O5 0.1899 0.9945 0.3706
O6 0.2284 0.4212 0.5830
O7 0.2637 0.9158 0.0465
O8 0.3119 0.1138 0.4850
O9 0.3706 0.1899 0.9945
O10 0.4111 0.7614 0.5533
O11 0.4212 0.5830 0.2284
O12 0.4850 0.3119 0.1138
O13 0.4987 0.6906 0.8696
O14 0.5533 0.4111 0.7614
O15 0.5830 0.2284 0.4212
O16 0.6116 0.7915 0.0138
O17 0.6906 0.8696 0.4987
O18 0.7230 0.0827 0.9472
O19 0.7614 0.5533 0.4111
O20 0.7915 0.0138 0.6116
O21 0.8696 0.4987 0.6906
O22 0.9158 0.0465 0.2637
O23 0.9473 0.7230 0.0827
O24 0.9945 0.3706 0.1899

Main lines, sorted by position (2θ from 10° to 80°):
2θ (°)  I_rel
14.46  30
20.51  98
24.10  100
29.16  37
32.68  37
35.94  40
46.90  27
56.24  24

=====

This entry pairs a crystal structure of LiTiSnP3O12 with its theoretical XRD peak list. Radiation: Cu Ka. Structure: a structure optimized by DFT (PBE).
Lines closer than 0.1° are merged.

Structure:
a b c (Å): 8.7192 8.7192 8.7192
angles (deg): 59.85 59.85 59.85
Fractional positions:
Li1 0.0000 0.0000 0.0000
Li2 0.5000 0.5000 0.5000
Ti1 0.3631 0.3631 0.3631
Ti2 0.8631 0.8631 0.8631
Sn1 0.1480 0.1480 0.1480
Sn2 0.6480 0.6480 0.6480
P1 0.0518 0.4660 0.7514
P2 0.2514 0.9660 0.5518
P3 0.4660 0.7514 0.0518
P4 0.5518 0.2514 0.9660
P5 0.7514 0.0518 0.4660
P6 0.9660 0.5518 0.2514
O1 0.0043 0.6316 0.8079
O2 0.0681 0.2752 0.9147
O3 0.0860 0.9510 0.7404
O4 0.1316 0.5043 0.3080
O5 0.1944 0.9972 0.3959
O6 0.2404 0.4510 0.5860
O7 0.2752 0.9147 0.0681
O8 0.3080 0.1316 0.5043
O9 0.3959 0.1944 0.9972
O10 0.4147 0.7752 0.5681
O11 0.4510 0.5860 0.2404
O12 0.4972 0.6944 0.8959
O13 0.5043 0.3080 0.1316
O14 0.5681 0.4147 0.7752
O15 0.5860 0.2404 0.4510
O16 0.6316 0.8079 0.0043
O17 0.6944 0.8959 0.4972
O18 0.7404 0.0860 0.9510
O19 0.7752 0.5681 0.4147
O20 0.8079 0.0043 0.6316
O21 0.8959 0.4972 0.6944
O22 0.9147 0.0681 0.2752
O23 0.9510 0.7404 0.0860
O24 0.9972 0.3959 0.1944

Main lines, sorted by position (2θ from 10° to 80°):
2θ (°)  I_rel
14.38  37
20.39  100
23.97  55
29.00  33
32.49  41
35.72  24
46.63  26
55.92  23

=====

This entry pairs a crystal structure of Li2TiSn3P6O24 with its theoretical XRD peak list. Radiation: Cu Ka. Structure: a structure optimized by DFT (PBE).
Lines closer than 0.1° are merged.

Structure:
a b c (Å): 8.7794 8.7794 8.7794
angles (deg): 59.60 59.60 59.60
Fractional positions:
Li1 0.0000 0.0000 0.0000
Li2 0.4920 0.4920 0.4920
Ti1 0.3559 0.3559 0.3559
Sn1 0.1423 0.1423 0.1423
Sn2 0.6415 0.6415 0.6415
Sn3 0.8578 0.8578 0.8578
P1 0.0466 0.7455 0.4556
P2 0.2487 0.5425 0.9592
P3 0.4556 0.0466 0.7455
P4 0.5425 0.9592 0.2487
P5 0.7455 0.4556 0.0466
P6 0.9592 0.2487 0.5425
O1 0.0175 0.7936 0.6167
O2 0.0591 0.9118 0.2672
O3 0.0845 0.7326 0.9509
O4 0.1211 0.3090 0.4913
O5 0.1878 0.3908 0.9893
O6 0.2351 0.5816 0.4309
O7 0.2672 0.0591 0.9118
O8 0.3090 0.4913 0.1211
O9 0.3908 0.9893 0.1878
O10 0.4098 0.5607 0.7678
O11 0.4309 0.2351 0.5816
O12 0.4913 0.1211 0.3090
O13 0.4924 0.8866 0.6928
O14 0.5607 0.7678 0.4098
O15 0.5816 0.4309 0.2351
O16 0.6167 0.0175 0.7936
O17 0.6928 0.4924 0.8866
O18 0.7326 0.9509 0.0845
O19 0.7678 0.4098 0.5607
O20 0.7936 0.6167 0.0175
O21 0.8866 0.6928 0.4924
O22 0.9118 0.2672 0.0591
O23 0.9509 0.0845 0.7326
O24 0.9893 0.1878 0.3908

Main lines, sorted by position (2θ from 10° to 80°):
2θ (°)  I_rel
14.31  32
20.23  100
20.35  81
23.86  76
28.85  57
32.26  48
35.60  75
55.72  41

=====

What is the formula in the first record?
Li2Ti3SnP6O24